Structure and calculated powder diffractogram of Nd2Hf3Si4 (a structure optimized by DFT (GGA-PBE); Cu Kα X-rays).
Intensities are scaled so that the largest is 1000.

Atomic structure:
```
data_Nd2Hf3Si4
_space_group_name_H-M_alt 'P 1 21/c 1'
_space_group_IT_number 14
_cell_length_a 7.3705
_cell_length_b 7.3788
_cell_length_c 7.1799
_cell_angle_alpha 90.00
_cell_angle_beta 108.55
_cell_angle_gamma 90.00
loop_
_space_group_symop_operation_xyz
'x,y,z'
'-x,-y,-z'
'-x,y+1/2,-z+1/2'
'x,-y+1/2,z+1/2'
loop_
_atom_site_label
_atom_site_type_symbol
_atom_site_fract_x
_atom_site_fract_y
_atom_site_fract_z
_atom_site_occupancy
Nd1 Nd 0.1884 0.1687 0.0701 1
Hf1 Hf 0.2548 0.6764 0.2506 1
Hf2 Hf 0.5000 0.0000 0.5000 1
Si1 Si 0.0847 0.5368 0.8734 1
Si2 Si 0.4946 0.1246 0.8690 1
```

Most intense lines, 5 to 70 degrees two-theta, low angle first:
- 2θ = 24.17°, intensity 494, (1 1 1)
- 2θ = 27.50°, intensity 720, (0 2 1)
- 2θ = 27.99°, intensity 585, (1 1 -2)
- 2θ = 30.28°, intensity 526, (2 0 -2)
- 2θ = 34.77°, intensity 971, (2 2 -1)
- 2θ = 34.97°, intensity 1000, (1 1 2)
- 2θ = 35.38°, intensity 758, (2 2 0)
- 2θ = 38.93°, intensity 530, (0 3 1)
- 2θ = 39.59°, intensity 639, (1 1 -3)
- 2θ = 55.87°, intensity 376, (3 1 2)